For CdNF, a structure optimized by DFT (GGA-PBE) gives the simulated powder XRD pattern in this record (λ = 1.5418 Å (Cu Kα)).

```
CdNF
1.0
10.7358 0.0000 0.0000
0.0000 3.1554 0.0000
-0.0615 0.0000 6.5328
Cd N F
4 4 4
Cartesian
1.2551 0.7863 0.0227
1.2244 0.7915 3.2891
9.4499 2.3640 3.2437
9.4192 2.3692 6.5101
4.8406 0.1767 0.0216
4.8098 1.4010 3.2880
5.8645 1.7544 3.2448
5.8337 2.9788 6.5112
2.1703 2.3666 1.6603
2.1396 2.3665 4.9267
8.5347 0.7889 1.6061
8.5040 0.7888 4.8725
```

Peak list (10 most intense, 2θ = 10–80°, low angle first)
2theta	d [Å]	I (rel.)	hkl
24.9	3.578	88	3 0 0
27.3	3.266	96	0 0 2
29.5	3.027	46	1 1 0
32.9	2.720	100	2 1 0
33.4	2.684	48	4 0 0
38.0	2.367	79	3 1 0
40.6	2.223	48	1 1 -2
40.7	2.217	55	1 1 2
43.2	2.095	69	2 1 -2
43.4	2.085	97	2 1 2

***

For Cd2N2F, a structure optimized by DFT (GGA-PBE) gives the simulated powder XRD pattern in this record (λ = 1.5418 Å (Cu Kα)).

```
Cd2N2F
1.0
3.5436 0.0000 0.0000
-1.6952 3.1128 0.0000
-0.1172 -1.9887 7.0086
Cd N F
2 2 1
Cartesian
0.0183 1.0584 1.5636
1.7129 0.0657 5.4450
-0.0553 -0.9967 4.1242
1.7865 2.1209 2.8844
1.7718 0.0000 0.0000
```

Peak list (10 most intense, 2θ = 10–80°, low angle first)
2theta	d [Å]	I (rel.)	hkl
25.4	3.504	77	0 0 2
29.9	2.990	100	0 1 0
30.7	2.915	47	1 -1 1
33.5	2.675	79	1 0 1
33.6	2.664	77	0 1 -2
33.8	2.652	77	-1 1 1
44.9	2.020	25	0 1 2
45.1	2.010	25	1 0 -3
50.4	1.810	25	1 1 -1
51.6	1.771	46	2 -1 0

***

For TlCdN2F, a structure optimized by DFT (GGA-PBE) gives the simulated powder XRD pattern in this record (λ = 1.5418 Å (Cu Kα)).

```
TlCdN2F
1.0
4.4032 0.0000 0.0000
0.0000 4.4032 0.0000
0.0000 0.0000 4.6977
Tl Cd N F
1 1 2 1
Cartesian
0.0000 0.0000 0.0000
2.2016 2.2016 2.3488
0.0000 2.2016 2.3488
2.2016 0.0000 2.3488
2.2016 2.2016 0.0000
```

Peak list (10 most intense, 2θ = 10–80°, low angle first)
2theta	d [Å]	I (rel.)	hkl
27.8	3.213	100	1 0 1
28.7	3.114	50	1 1 0
34.6	2.595	11	1 1 1
38.3	2.349	16	0 0 2
41.0	2.202	26	2 0 0
48.6	1.875	24	1 1 2
50.2	1.816	40	2 1 1
57.4	1.606	19	2 0 2
63.0	1.475	10	1 0 3
78.0	1.226	11	2 1 3